Record 1
# BP2C
Simulated powder X-ray diffraction pattern, Cu Kα, 1.54184 Å. Input: a DFT-relaxed cell (PBE, Alexandria).
Lines closer than 0.1° are merged.

Structure:
```
data_BP2C
_chemical_formula_sum 'B1 P2 C1'
_cell_length_a 3.0342
_cell_length_b 4.0176
_cell_length_c 4.0718
_cell_angle_alpha 80.33
_cell_angle_beta 74.02
_cell_angle_gamma 74.42
_symmetry_space_group_name_H-M 'P 1'
_symmetry_Int_Tables_number 1
_symmetry_space_group_name_Hall 'P 1'
loop_
_atom_site_label
_atom_site_type_symbol
_atom_site_fract_x
_atom_site_fract_y
_atom_site_fract_z
_atom_site_occupancy
B1 B 0.0000 0.0000 0.0000 1
P1 P 0.3744 0.0300 0.2987 1
P2 P 0.8868 0.4311 0.6823 1
C1 C 0.2689 0.7234 0.7017 1
```

The 10 most intense peaks (2θ from 15° to 90°), in order of rising 2θ:
two_theta, I (rel.)
22.8, 19
31.0, 62
34.4, 100
34.6, 38
35.6, 33
43.8, 47
47.2, 15
50.3, 16
50.7, 15
60.7, 15

***

Record 2
# HfTi5Te4
Simulated powder X-ray diffraction pattern, Cu Kα, 1.54184 Å. Input: a DFT-relaxed cell (PBE, Alexandria).
Lines closer than 0.1° are merged.

Structure:
```
data_HfTi5Te4
_chemical_formula_sum 'Hf2 Ti10 Te8'
_cell_length_a 7.7692
_cell_length_b 9.1755
_cell_length_c 6.7466
_cell_angle_alpha 90.00
_cell_angle_beta 90.00
_cell_angle_gamma 90.00
_symmetry_space_group_name_H-M 'P m m n'
_symmetry_Int_Tables_number 59
loop_
_symmetry_equiv_pos_as_xyz
'x,y,z'
'-x,-y,-z'
'-x+1/2,-y+1/2,z'
'x+1/2,y+1/2,-z'
'x+1/2,-y,-z'
'-x+1/2,y,z'
'-x,y+1/2,-z'
'x,-y+1/2,z'
loop_
_atom_site_label
_atom_site_type_symbol
_atom_site_fract_x
_atom_site_fract_y
_atom_site_fract_z
_atom_site_occupancy
Hf1 Hf 0.2500 0.2500 0.2421 1
Ti1 Ti 0.0501 0.5131 0.7203 1
Ti2 Ti 0.2500 0.7500 0.7740 1
Te1 Te 0.0129 0.7500 0.4618 1
Te2 Te 0.2500 0.5312 0.0627 1
```

The 10 most intense peaks (2θ from 15° to 90°), in order of rising 2θ:
two_theta, I (rel.)
16.3, 24
17.4, 21
23.4, 63
26.5, 75
28.2, 33
39.3, 34
39.8, 33
40.5, 100
46.5, 18
48.0, 23